Starting from a structure optimized by DFT (PBE), the powder diffraction line list of Gd2InNi2 was computed for Cu Kα X-rays.
Kinematic intensities with the Lorentz-polarization factor, no thermal factor.

Structure:
Unit cell a=7.488 b=7.488 c=3.716 alpha=90.00 beta=90.00 gamma=148.84
Element x y z (fractional)
1 Gd 0.138 0.862 0.000
2 Gd 0.862 0.138 0.000
3 In 0.500 0.500 0.500
4 Ni 0.301 0.699 0.500
5 Ni 0.699 0.301 0.500

Peak list (10 most intense, 5 to 70 degrees two-theta, low angle first)
2θ (°)  I/Imax
28.94  42
33.41  100
34.66  71
37.90  36
38.39  35
45.08  26
49.03  20
55.90  18
58.08  32
63.94  15